For BaPr2In2O7, the GGA-PBE geometry in the Materials Project gives the theoretical powder diffractogram in this record (CuKα).

Structure:
```
BaPr2In2O7
1.0
5.9906 0.0000 0.0000
0.0000 5.9906 0.0000
0.0000 0.0000 20.8486
Ba Pr In O
4 8 8 28
direct
0.2384 0.2384 0.0000
0.2616 0.7384 0.5000
0.7384 0.2616 0.5000
0.7616 0.7616 0.0000
0.2213 0.2213 0.1856
0.2213 0.2213 0.8144
0.2787 0.7213 0.3144
0.2787 0.7213 0.6856
0.7213 0.2787 0.3144
0.7213 0.2787 0.6856
0.7787 0.7787 0.1856
0.7787 0.7787 0.8144
0.2402 0.2402 0.3971
0.2402 0.2402 0.6029
0.2598 0.7402 0.1029
0.2598 0.7402 0.8971
0.7402 0.2598 0.1029
0.7402 0.2598 0.8971
0.7598 0.7598 0.3971
0.7598 0.7598 0.6029
0.0000 0.0000 0.0912
0.0000 0.0000 0.3632
0.0000 0.0000 0.6368
0.0000 0.0000 0.9088
0.0000 0.5000 0.1176
0.0000 0.5000 0.3824
0.0000 0.5000 0.6176
0.0000 0.5000 0.8824
0.1810 0.8190 0.2111
0.1810 0.8190 0.7889
0.2024 0.2024 0.5000
0.2976 0.7024 0.0000
0.3190 0.3190 0.2889
0.3190 0.3190 0.7111
0.5000 0.0000 0.1176
0.5000 0.0000 0.3824
0.5000 0.0000 0.6176
0.5000 0.0000 0.8824
0.5000 0.5000 0.1368
0.5000 0.5000 0.4088
0.5000 0.5000 0.5911
0.5000 0.5000 0.8632
0.6810 0.6810 0.2889
0.6810 0.6810 0.7111
0.7024 0.2976 0.0000
0.7976 0.7976 0.5000
0.8190 0.1810 0.2111
0.8190 0.1810 0.7889
```

The 10 most intense peaks (15 to 90 degrees two-theta), low angle first:
index  two_theta  Rel. int.
2 0 0  29.83  56
1 1 5  30.07  100
2 2 0  42.69  30
0 0 10  43.40  10
3 1 5  53.10  38
2 0 10  53.55  17
4 0 0  61.96  8
2 2 10  62.51  11
4 2 0  70.26  10
5 1 5  85.96  8